Starting from a crystal structure in the Materials Project, relaxed with PBE, the XRD peak list of Te2MoW3Se2S4 was computed for a wavelength of 1.5418 Å.

Top 10 peaks for 2θ = 10–90°, by intensity:
Position (°2θ)  d_spacing  I_rel  hkl
11.8  7.523  100  0 0 5
36.8  2.444  72  0 1 8
44.5  2.035  37  1 0 13
31.3  2.859  36  1 0 0
14.1  6.269  28  0 0 6
55.6  1.652  21  1 1 0
33.5  2.675  13  1 0 5
46.4  1.959  13  1 0 14
39.6  2.277  12  1 0 10
68.6  1.369  11  2 0 8

Structural model:
```
data_Te2MoW3Se2S4
_space_group_name_H-M_alt 'P 3 m 1'
_space_group_IT_number 156
_cell_length_a 3.3042
_cell_length_b 3.3042
_cell_length_c 37.6146
_cell_angle_alpha 90.00
_cell_angle_beta 90.00
_cell_angle_gamma 120.00
loop_
_space_group_symop_operation_xyz
'x,y,z'
'-y,x-y,z'
'-x+y,-x,z'
'-y,-x,z'
'-x+y,y,z'
'x,x-y,z'
loop_
_atom_site_label
_atom_site_type_symbol
_atom_site_fract_x
_atom_site_fract_y
_atom_site_fract_z
_atom_site_occupancy
Te1 Te 0.0000 0.0000 0.0000 1
Te2 Te 0.0000 0.0000 0.1016 1
Mo1 Mo 0.6667 0.3333 0.0508 1
W1 W 0.0000 0.0000 0.2387 1
W2 W 0.0000 0.0000 0.6144 1
W3 W 0.6667 0.3333 0.4265 1
Se1 Se 0.6667 0.3333 0.5696 1
Se2 Se 0.6667 0.3333 0.6593 1
S1 S 0.0000 0.0000 0.3858 1
S2 S 0.0000 0.0000 0.4673 1
S3 S 0.6667 0.3333 0.1979 1
S4 S 0.6667 0.3333 0.2795 1
```

---

Starting from a crystal structure in the Materials Project, relaxed with PBE, the XRD peak list of Te2Mo3WSe4S2 was computed for a wavelength of 1.5418 Å.

Top 10 peaks for 2θ = 10–90°, by intensity:
Position (°2θ)  d_spacing  I_rel  hkl
11.6  7.637  100  0 0 5
36.3  2.475  87  1 0 8
43.9  2.062  53  0 1 13
30.9  2.892  51  1 0 0
55.0  1.671  33  1 1 0
37.6  2.390  19  1 0 9
45.7  1.985  16  1 0 14
33.1  2.706  15  1 0 5
77.6  1.230  15  1 1 21
13.9  6.364  14  0 0 6

Structural model:
```
data_Te2Mo3WSe4S2
_space_group_name_H-M_alt 'P 3 m 1'
_space_group_IT_number 156
_cell_length_a 3.3419
_cell_length_b 3.3419
_cell_length_c 38.1837
_cell_angle_alpha 90.00
_cell_angle_beta 90.00
_cell_angle_gamma 120.00
loop_
_space_group_symop_operation_xyz
'x,y,z'
'-y,x-y,z'
'-x+y,-x,z'
'-y,-x,z'
'-x+y,y,z'
'x,x-y,z'
loop_
_atom_site_label
_atom_site_type_symbol
_atom_site_fract_x
_atom_site_fract_y
_atom_site_fract_z
_atom_site_occupancy
Te1 Te 0.0000 0.0000 0.0000 1
Te2 Te 0.0000 0.0000 0.0993 1
Mo1 Mo 0.0000 0.0000 0.2376 1
Mo2 Mo 0.0000 0.0000 0.8617 1
Mo3 Mo 0.3333 0.6667 0.0497 1
W1 W 0.3333 0.6667 0.4254 1
Se1 Se 0.3333 0.6667 0.1939 1
Se2 Se 0.3333 0.6667 0.2813 1
Se3 Se 0.3333 0.6667 0.8180 1
Se4 Se 0.3333 0.6667 0.9054 1
S1 S 0.0000 0.0000 0.3855 1
S2 S 0.0000 0.0000 0.4653 1
```

---

Starting from a crystal structure in the Materials Project, relaxed with PBE, the XRD peak list of TeMoWSe2S was computed for a wavelength of 1.5418 Å.

Top 10 peaks for 2θ = 10–90°, by intensity:
Position (°2θ)  d_spacing  I_rel  hkl
11.6  7.628  100  0 0 5
36.3  2.476  79  1 0 8
43.9  2.061  47  1 0 13
30.9  2.895  45  1 0 0
54.9  1.672  33  1 1 0
37.6  2.392  20  1 0 9
13.9  6.357  19  0 0 6
45.7  1.985  18  0 1 14
35.1  2.558  17  0 1 7
77.6  1.230  13  1 1 21

Structural model:
```
data_TeMoWSe2S
_space_group_name_H-M_alt 'P 3 m 1'
_space_group_IT_number 156
_cell_length_a 3.3455
_cell_length_b 3.3455
_cell_length_c 38.1405
_cell_angle_alpha 90.00
_cell_angle_beta 90.00
_cell_angle_gamma 120.00
loop_
_space_group_symop_operation_xyz
'x,y,z'
'-y,x-y,z'
'-x+y,-x,z'
'-y,-x,z'
'-x+y,y,z'
'x,x-y,z'
loop_
_atom_site_label
_atom_site_type_symbol
_atom_site_fract_x
_atom_site_fract_y
_atom_site_fract_z
_atom_site_occupancy
Te1 Te 0.0000 0.0000 0.0000 1
Te2 Te 0.0000 0.0000 0.1001 1
Mo1 Mo 0.0000 0.0000 0.8622 1
Mo2 Mo 0.3333 0.6667 0.4259 1
W1 W 0.0000 0.0000 0.2380 1
W2 W 0.3333 0.6667 0.0500 1
Se1 Se 0.0000 0.0000 0.3821 1
Se2 Se 0.0000 0.0000 0.4696 1
Se3 Se 0.3333 0.6667 0.1941 1
Se4 Se 0.3333 0.6667 0.2820 1
S1 S 0.3333 0.6667 0.8224 1
S2 S 0.3333 0.6667 0.9020 1
```

---

Starting from a crystal structure in the Materials Project, relaxed with PBE, the XRD peak list of Te2Mo3WSe4S2 was computed for a wavelength of 1.5418 Å.

Top 10 peaks for 2θ = 10–90°, by intensity:
Position (°2θ)  d_spacing  I_rel  hkl
11.6  7.603  100  0 0 5
36.4  2.471  85  0 1 8
30.9  2.890  52  1 0 0
44.0  2.057  50  1 0 13
55.0  1.670  30  1 1 0
14.0  6.336  23  0 0 6
45.8  1.980  17  0 1 14
33.1  2.704  14  1 0 5
77.8  1.228  14  1 1 21
67.7  1.384  13  2 0 8

Structural model:
```
data_Te2Mo3WSe4S2
_space_group_name_H-M_alt 'P 3 m 1'
_space_group_IT_number 156
_cell_length_a 3.3408
_cell_length_b 3.3408
_cell_length_c 38.0144
_cell_angle_alpha 90.00
_cell_angle_beta 90.00
_cell_angle_gamma 120.00
loop_
_space_group_symop_operation_xyz
'x,y,z'
'-y,x-y,z'
'-x+y,-x,z'
'-y,-x,z'
'-x+y,y,z'
'x,x-y,z'
loop_
_atom_site_label
_atom_site_type_symbol
_atom_site_fract_x
_atom_site_fract_y
_atom_site_fract_z
_atom_site_occupancy
Te1 Te 0.0000 0.0000 0.0000 1
Te2 Te 0.0000 0.0000 0.0997 1
Mo1 Mo 0.0000 0.0000 0.4862 1
Mo2 Mo 0.0000 0.0000 0.8619 1
Mo3 Mo 0.3333 0.6667 0.0499 1
W1 W 0.3333 0.6667 0.6741 1
Se1 Se 0.3333 0.6667 0.4424 1
Se2 Se 0.3333 0.6667 0.5300 1
Se3 Se 0.3333 0.6667 0.8181 1
Se4 Se 0.3333 0.6667 0.9058 1
S1 S 0.0000 0.0000 0.6340 1
S2 S 0.0000 0.0000 0.7141 1
```

---

Starting from a crystal structure in the Materials Project, relaxed with PBE, the XRD peak list of TeMoWSe2S was computed for a wavelength of 1.5418 Å.

Top 10 peaks for 2θ = 10–90°, by intensity:
Position (°2θ)  d_spacing  I_rel  hkl
11.5  7.718  100  0 0 5
36.2  2.482  75  1 0 8
43.7  2.073  49  0 1 13
30.9  2.892  45  1 0 0
54.9  1.671  28  1 1 0
33.0  2.711  14  1 0 5
77.1  1.236  13  1 1 21
45.4  1.996  12  1 0 14
16.1  5.513  12  0 0 7
67.6  1.386  12  0 2 8

Structural model:
```
data_TeMoWSe2S
_space_group_name_H-M_alt 'P 3 m 1'
_space_group_IT_number 156
_cell_length_a 3.3429
_cell_length_b 3.3429
_cell_length_c 38.5916
_cell_angle_alpha 90.00
_cell_angle_beta 90.00
_cell_angle_gamma 120.00
loop_
_space_group_symop_operation_xyz
'x,y,z'
'-y,x-y,z'
'-x+y,-x,z'
'-y,-x,z'
'-x+y,y,z'
'x,x-y,z'
loop_
_atom_site_label
_atom_site_type_symbol
_atom_site_fract_x
_atom_site_fract_y
_atom_site_fract_z
_atom_site_occupancy
Te1 Te 0.0000 0.0000 0.0000 1
Te2 Te 0.0000 0.0000 0.0982 1
Mo1 Mo 0.0000 0.0000 0.8603 1
Mo2 Mo 0.6667 0.3333 0.0491 1
W1 W 0.0000 0.0000 0.2382 1
W2 W 0.6667 0.3333 0.6732 1
Se1 Se 0.6667 0.3333 0.1948 1
Se2 Se 0.6667 0.3333 0.2816 1
Se3 Se 0.6667 0.3333 0.8172 1
Se4 Se 0.6667 0.3333 0.9035 1
S1 S 0.0000 0.0000 0.6338 1
S2 S 0.0000 0.0000 0.7126 1
```

---

Starting from a crystal structure in the Materials Project, relaxed with PBE, the XRD peak list of Te2MoW3Se4S2 was computed for a wavelength of 1.5418 Å.

Top 10 peaks for 2θ = 10–90°, by intensity:
Position (°2θ)  d_spacing  I_rel  hkl
11.6  7.632  100  0 0 5
36.3  2.475  77  1 0 8
43.9  2.061  44  0 1 13
30.9  2.893  41  1 0 0
54.9  1.671  28  1 1 0
37.6  2.389  16  0 0 16
33.1  2.707  15  1 0 5
13.9  6.360  14  0 0 6
45.7  1.985  14  1 0 14
67.6  1.385  12  0 2 8

Structural model:
```
data_Te2MoW3Se4S2
_space_group_name_H-M_alt 'P 3 m 1'
_space_group_IT_number 156
_cell_length_a 3.3432
_cell_length_b 3.3432
_cell_length_c 38.1601
_cell_angle_alpha 90.00
_cell_angle_beta 90.00
_cell_angle_gamma 120.00
loop_
_space_group_symop_operation_xyz
'x,y,z'
'-y,x-y,z'
'-x+y,-x,z'
'-y,-x,z'
'-x+y,y,z'
'x,x-y,z'
loop_
_atom_site_label
_atom_site_type_symbol
_atom_site_fract_x
_atom_site_fract_y
_atom_site_fract_z
_atom_site_occupancy
Te1 Te 0.0000 0.0000 0.0000 1
Te2 Te 0.0000 0.0000 0.1000 1
Mo1 Mo 0.0000 0.0000 0.2379 1
W1 W 0.0000 0.0000 0.8621 1
W2 W 0.3333 0.6667 0.0500 1
W3 W 0.3333 0.6667 0.4258 1
Se1 Se 0.0000 0.0000 0.3818 1
Se2 Se 0.0000 0.0000 0.4697 1
Se3 Se 0.3333 0.6667 0.1942 1
Se4 Se 0.3333 0.6667 0.2817 1
S1 S 0.3333 0.6667 0.8223 1
S2 S 0.3333 0.6667 0.9020 1
```

---

Starting from a crystal structure in the Materials Project, relaxed with PBE, the XRD peak list of Te2Mo3WSe2S4 was computed for a wavelength of 1.5418 Å.

Top 10 peaks for 2θ = 10–90°, by intensity:
Position (°2θ)  d_spacing  I_rel  hkl
11.8  7.519  100  0 0 5
36.7  2.446  81  0 1 8
31.3  2.861  47  1 0 0
44.5  2.035  44  1 0 13
55.6  1.653  29  1 1 0
14.1  6.266  25  0 0 6
46.3  1.959  16  1 0 14
33.5  2.677  14  1 0 5
78.8  1.215  13  1 1 21
38.1  2.362  13  0 1 9

Structural model:
```
data_Te2Mo3WSe2S4
_space_group_name_H-M_alt 'P 3 m 1'
_space_group_IT_number 156
_cell_length_a 3.3072
_cell_length_b 3.3072
_cell_length_c 37.5938
_cell_angle_alpha 90.00
_cell_angle_beta 90.00
_cell_angle_gamma 120.00
loop_
_space_group_symop_operation_xyz
'x,y,z'
'-y,x-y,z'
'-x+y,-x,z'
'-y,-x,z'
'-x+y,y,z'
'x,x-y,z'
loop_
_atom_site_label
_atom_site_type_symbol
_atom_site_fract_x
_atom_site_fract_y
_atom_site_fract_z
_atom_site_occupancy
Te1 Te 0.0000 0.0000 0.0000 1
Te2 Te 0.0000 0.0000 0.1016 1
Mo1 Mo 0.0000 0.0000 0.4871 1
Mo2 Mo 0.0000 0.0000 0.8628 1
Mo3 Mo 0.3333 0.6667 0.0508 1
W1 W 0.3333 0.6667 0.6750 1
Se1 Se 0.3333 0.6667 0.8183 1
Se2 Se 0.3333 0.6667 0.9074 1
S1 S 0.0000 0.0000 0.6342 1
S2 S 0.0000 0.0000 0.7158 1
S3 S 0.3333 0.6667 0.4464 1
S4 S 0.3333 0.6667 0.5279 1
```

---

Starting from a crystal structure in the Materials Project, relaxed with PBE, the XRD peak list of Te2MoW3Se4S2 was computed for a wavelength of 1.5418 Å.

Top 10 peaks for 2θ = 10–90°, by intensity:
Position (°2θ)  d_spacing  I_rel  hkl
11.6  7.618  100  0 0 5
36.3  2.475  77  1 0 8
44.0  2.060  43  0 1 13
30.9  2.896  32  1 0 0
54.9  1.672  24  1 1 0
13.9  6.349  20  0 0 6
39.1  2.306  17  1 0 10
33.1  2.708  15  1 0 5
45.7  1.983  14  1 0 14
67.6  1.386  12  0 2 8

Structural model:
```
data_Te2MoW3Se4S2
_space_group_name_H-M_alt 'P 3 m 1'
_space_group_IT_number 156
_cell_length_a 3.3452
_cell_length_b 3.3452
_cell_length_c 38.0925
_cell_angle_alpha 90.00
_cell_angle_beta 90.00
_cell_angle_gamma 120.00
loop_
_space_group_symop_operation_xyz
'x,y,z'
'-y,x-y,z'
'-x+y,-x,z'
'-y,-x,z'
'-x+y,y,z'
'x,x-y,z'
loop_
_atom_site_label
_atom_site_type_symbol
_atom_site_fract_x
_atom_site_fract_y
_atom_site_fract_z
_atom_site_occupancy
Te1 Te 0.0000 0.0000 0.0000 1
Te2 Te 0.0000 0.0000 0.1001 1
Mo1 Mo 0.0000 0.0000 0.8622 1
W1 W 0.0000 0.0000 0.4864 1
W2 W 0.3333 0.6667 0.0501 1
W3 W 0.3333 0.6667 0.6743 1
Se1 Se 0.0000 0.0000 0.6304 1
Se2 Se 0.0000 0.0000 0.7183 1
Se3 Se 0.3333 0.6667 0.4425 1
Se4 Se 0.3333 0.6667 0.5304 1
S1 S 0.3333 0.6667 0.8224 1
S2 S 0.3333 0.6667 0.9020 1
```